The following is a theoretical XRD peak list of Pr4SmTm7. It was derived from DFT lattice parameters and positions (PBE), using Cu Kα.
Lines closer than 0.1° are merged.

Most intense lines, 15 to 90 degrees two-theta, sorted by position:
d = 2.921 Å, 2θ = 30.60°, I = 100; d = 2.905 Å, 2θ = 30.78°, I = 33; d = 2.529 Å, 2θ = 35.50°, I = 45; d = 2.522 Å, 2θ = 35.60°, I = 22; d = 1.791 Å, 2θ = 50.98°, I = 16; d = 1.784 Å, 2θ = 51.21°, I = 16; d = 1.527 Å, 2θ = 60.63°, I = 10; d = 1.525 Å, 2θ = 60.72°, I = 19; d = 1.524 Å, 2θ = 60.79°, I = 10; d = 1.520 Å, 2θ = 60.94°, I = 14

Cell and atoms:
```
Pr4SmTm7
1.0
7.135 0.000 0.000
1.723 7.789 0.000
3.547 1.632 6.963
Pr Sm Tm
4 1 7
direct
0.083 0.332 0.170 Pr
0.335 0.331 0.664 Pr
0.665 0.669 0.336 Pr
0.917 0.668 0.830 Pr
0.500 0.000 0.000 Sm
0.000 0.000 0.000 Tm
0.167 0.670 0.331 Tm
0.249 0.999 0.502 Tm
0.416 0.668 0.835 Tm
0.584 0.332 0.165 Tm
0.751 0.001 0.498 Tm
0.833 0.330 0.669 Tm
```

=====

The following is a theoretical XRD peak list of Ga. It was derived from DFT lattice parameters and positions (PBE), using Cu Kα.
Lines closer than 0.1° are merged.

Most intense lines, 15 to 90 degrees two-theta, sorted by position:
d = 2.577 Å, 2θ = 34.81°, I = 100; d = 2.093 Å, 2θ = 43.23°, I = 54; d = 2.071 Å, 2θ = 43.71°, I = 17; d = 1.635 Å, 2θ = 56.26°, I = 24; d = 1.381 Å, 2θ = 67.88°, I = 13; d = 1.362 Å, 2θ = 68.96°, I = 13; d = 1.289 Å, 2θ = 73.49°, I = 11; d = 1.283 Å, 2θ = 73.84°, I = 21; d = 1.138 Å, 2θ = 85.31°, I = 7

Cell and atoms:
```
Ga
1.0
1.635 0.944 2.071
-1.635 0.944 2.071
0.000 -1.888 2.071
Ga
1
direct
0.000 0.000 0.000 Ga
```

=====

The following is a theoretical XRD peak list of CeMnPb2S5. It was derived from DFT lattice parameters and positions (PBE), using Cu Kα.
Lines closer than 0.1° are merged.

Most intense lines, 15 to 90 degrees two-theta, sorted by position:
d = 4.075 Å, 2θ = 21.81°, I = 31; d = 3.965 Å, 2θ = 22.42°, I = 35; d = 3.844 Å, 2θ = 23.14°, I = 87; d = 3.216 Å, 2θ = 27.74°, I = 42; d = 2.914 Å, 2θ = 30.68°, I = 100; d = 2.795 Å, 2θ = 32.02°, I = 38; d = 2.627 Å, 2θ = 34.13°, I = 40; d = 2.433 Å, 2θ = 36.95°, I = 38; d = 2.037 Å, 2θ = 44.48°, I = 57; d = 1.889 Å, 2θ = 48.17°, I = 32

Cell and atoms:
```
CeMnPb2S5
1.0
2.037 -8.590 0.000
2.037 8.590 0.000
0.000 0.000 12.893
Ce Mn Pb S
2 2 4 10
direct
0.209 0.791 0.500 Ce
0.791 0.209 0.000 Ce
0.442 0.558 0.898 Mn
0.558 0.442 0.398 Mn
0.090 0.910 0.124 Pb
0.125 0.875 0.791 Pb
0.875 0.125 0.291 Pb
0.910 0.090 0.624 Pb
0.048 0.952 0.496 S
0.284 0.716 0.141 S
0.307 0.693 0.859 S
0.366 0.634 0.467 S
0.495 0.505 0.238 S
0.505 0.495 0.738 S
0.634 0.366 0.967 S
0.693 0.307 0.359 S
0.716 0.284 0.641 S
0.952 0.048 0.996 S
```

=====

The following is a theoretical XRD peak list of Ac8CdIr4. It was derived from DFT lattice parameters and positions (PBE), using Cu Kα.
Lines closer than 0.1° are merged.

Most intense lines, 15 to 90 degrees two-theta, sorted by position:
d = 3.852 Å, 2θ = 23.09°, I = 18; d = 3.688 Å, 2θ = 24.13°, I = 31; d = 3.194 Å, 2θ = 27.94°, I = 100; d = 2.458 Å, 2θ = 36.55°, I = 43; d = 2.258 Å, 2θ = 39.92°, I = 86; d = 1.844 Å, 2θ = 49.43°, I = 23; d = 1.789 Å, 2θ = 51.06°, I = 19; d = 1.428 Å, 2θ = 65.34°, I = 23; d = 1.304 Å, 2θ = 72.50°, I = 20; d = 1.235 Å, 2θ = 77.26°, I = 20

Cell and atoms:
```
Ac8CdIr4
1.0
0.000 6.387 6.387
6.387 0.000 6.387
6.387 6.387 0.000
Ac Cd Ir
8 1 4
direct
0.393 0.393 0.393 Ac
0.393 0.393 0.821 Ac
0.393 0.821 0.393 Ac
0.416 0.861 0.861 Ac
0.821 0.393 0.393 Ac
0.861 0.416 0.861 Ac
0.861 0.861 0.416 Ac
0.861 0.861 0.861 Ac
0.250 0.250 0.250 Cd
0.120 0.627 0.627 Ir
0.627 0.120 0.627 Ir
0.627 0.627 0.120 Ir
0.627 0.627 0.627 Ir
```